Computed X-ray diffraction stick pattern of RbHg7H5 for Cu Kα, from a crystal structure in Alexandria, relaxed with PBE.

Crystal structure
```
RbHg7H5
1.0
3.034 -5.135 0.000
3.034 5.135 0.000
-1.868 0.000 10.260
Rb Hg H
1 7 5
direct
0.000 0.000 0.000
0.115 0.115 0.356
0.247 0.593 0.810
0.365 0.708 0.571
0.578 0.578 0.232
0.593 0.247 0.810
0.708 0.365 0.571
0.997 0.997 0.644
0.053 0.527 0.935
0.449 0.776 0.419
0.498 0.498 0.884
0.527 0.053 0.935
0.776 0.449 0.419
```

Peak list (10 most intense, 2θ = 5–70°, by intensity)
2θ = 8.62°, rel. 1000
2θ = 30.09°, rel. 515
2θ = 32.11°, rel. 513
2θ = 29.00°, rel. 455
2θ = 19.33°, rel. 379
2θ = 32.71°, rel. 274
2θ = 29.93°, rel. 269
2θ = 44.57°, rel. 219
2θ = 31.43°, rel. 191
2θ = 36.24°, rel. 172